Starting from a cell relaxed with GGA-PBE, the XRD peak list of KNbPO6 was calculated for Cu Kα (weighted mean of Kα1 and Kα2).
Intensities are scaled so that the largest is 100.

Crystal structure
```
data_KNbPO6
_chemical_formula_sum 'K1 Nb1 P1 O6'
_space_group_name_H-M_alt 'P 3 1 2'
_space_group_IT_number 149
_cell_length_a 5.0829
_cell_length_b 5.0829
_cell_length_c 5.9188
_cell_angle_alpha 90.00
_cell_angle_beta 90.00
_cell_angle_gamma 120.00
loop_
_space_group_symop_operation_xyz
'x,y,z'
'-y,x-y,z'
'-x+y,-x,z'
'-y,-x,-z'
'-x+y,y,-z'
'x,x-y,-z'
loop_
_atom_site_label
_atom_site_fract_x
_atom_site_fract_y
_atom_site_fract_z
K1 0.0000 0.0000 0.0000
Nb1 0.3333 0.6667 0.5000
P1 0.6667 0.3333 0.5000
O1 0.4093 0.0430 0.6683
```

Main lines, most intense first (2θ = 10–90°):
hkl	2θ (°)	Rel. int.
1 0 1	25.2	100
0 0 1	15.0	75
2 -1 2	47.1	42
1 1 0	35.3	21
3 -1 1	57.5	19
3 0 0	63.3	19
1 0 0	20.2	18
2 -1 1	38.6	17
2 0 1	43.9	16
1 0 3	50.7	11